[1]
The following is a calculated PXRD pattern of CeErTmTh. It was derived from a DFT-relaxed cell (GGA-PBE, Alexandria), using copper Kα.
No peak broadening, texture or thermal motion is included.

Peak list (10 most intense, 2θ from 10° to 90°, sorted by position)
29.73°, intensity 35, (0 1 2); 31.71°, intensity 48, (0 0 12); 32.15°, intensity 100, (0 1 5); 34.74°, intensity 80, (1 0 7); 39.75°, intensity 17, (1 0 10); 51.85°, intensity 37, (1 1 0); 55.05°, intensity 23, (0 1 17); 60.12°, intensity 16, (1 0 19); 62.07°, intensity 43, (1 1 12); 88.83°, intensity 17, (1 1 24)

Structural model:
```
data_CeErTmTh
_symmetry_space_group_name_H-M 'R 3 m'
_symmetry_Int_Tables_number 160
_symmetry_space_group_name_Hall 'R 3 -2"'
_cell_length_a 3.5264
_cell_length_b 3.5264
_cell_length_c 33.8578
_cell_angle_alpha 90.00
_cell_angle_beta 90.00
_cell_angle_gamma 120.00
loop_
_atom_site_label
_atom_site_fract_x
_atom_site_fract_y
_atom_site_fract_z
Ce1 0.0000 0.0000 0.0000
Er1 0.0000 0.0000 0.8329
Tm1 0.0000 0.0000 0.5830
Th1 0.0000 0.0000 0.4153
```

[2]
The following is a calculated PXRD pattern of CeEr2Tl4. It was derived from a DFT-relaxed cell (GGA-PBE, Alexandria), using copper Kα.
No peak broadening, texture or thermal motion is included.

Peak list (10 most intense, 2θ from 10° to 90°, sorted by position)
20.53°, intensity 8, (1 0 1); 24.00°, intensity 8, (1 1 0); 33.65°, intensity 100, (1 1 2); 34.20°, intensity 51, (2 0 0); 47.50°, intensity 8, (0 0 4); 49.15°, intensity 18, (2 2 0); 59.82°, intensity 17, (2 0 4); 60.89°, intensity 37, (3 1 2); 70.75°, intensity 10, (2 2 4); 82.22°, intensity 8, (4 2 0)

Structural model:
```
data_CeEr2Tl4
_symmetry_space_group_name_H-M 'P 4/m m m'
_symmetry_Int_Tables_number 123
_symmetry_space_group_name_Hall '-P 4 2'
_cell_length_a 5.243
_cell_length_b 5.243
_cell_length_c 7.657
_cell_angle_alpha 90.00
_cell_angle_beta 90.00
_cell_angle_gamma 90.00
loop_
_atom_site_label
_atom_site_fract_x
_atom_site_fract_y
_atom_site_fract_z
Ce1 0.000 0.000 0.000
Er1 0.000 0.000 0.500
Er2 0.500 0.500 0.000
Tl1 0.000 0.500 0.273
```